Entry 1:
Simulated X-ray powder pattern
Compound: TbPa2Pt3
Radiation: CuKα
Structure: a crystal structure in Alexandria, relaxed with GGA-PBE
Kinematic intensities with the Lorentz-polarization factor, no thermal factor.

Main lines, low angle first (2θ from 15° to 90°):
index  two_theta  d (Å)  Rel. int.
0 2 3  31.09  2.876  100
4 0 -2  31.20  2.867  50
0 4 0  42.55  2.125  21
4 2 1  43.30  2.090  41
4 2 -5  45.93  1.976  35
0 0 6  46.49  1.954  17
4 4 -2  53.69  1.707  22
4 0 4  54.82  1.675  10
0 4 6  64.83  1.438  12
0 6 3  70.75  1.332  9

Cell and atoms:
```
data_TbPa2Pt3
_cell_length_a 11.5012
_cell_length_b 8.4990
_cell_length_c 12.6882
_cell_angle_alpha 90.00
_cell_angle_beta 112.51
_cell_angle_gamma 90.00
_symmetry_space_group_name_H-M 'C 1 2/c 1'
_symmetry_Int_Tables_number 15
_symmetry_space_group_name_Hall '-C 2yc'
loop_
_atom_site_label
_atom_site_fract_x
_atom_site_fract_y
_atom_site_fract_z
Tb1 0.0827 0.1243 0.4156
Pa1 0.0831 0.3745 0.9181
Pa2 0.2493 0.1250 0.7464
Pt1 0.0000 0.1361 0.7500
Pt2 0.0000 0.3855 0.2500
Pt3 0.1639 0.3808 0.5853
Pt4 0.1736 0.1309 0.0873
```

Entry 2:
Simulated X-ray powder pattern
Compound: Li5YSe4
Radiation: CuKα
Structure: a crystal structure in Alexandria, relaxed with GGA-PBE
Kinematic intensities with the Lorentz-polarization factor, no thermal factor.

Main lines, low angle first (2θ from 15° to 90°):
index  two_theta  d (Å)  Rel. int.
1 1 0  24.80  3.589  78
0 0 4  25.39  3.508  64
0 2 2  27.02  3.300  34
1 0 3  28.99  3.080  18
1 2 1  33.07  2.708  100
0 1 5  34.12  2.628  26
1 1 4  35.79  2.509  32
2 0 0  44.28  2.046  23
1 2 5  46.12  1.968  75
2 0 4  51.73  1.767  18

Cell and atoms:
```
data_Li5YSe4
_cell_length_a 4.0915
_cell_length_b 7.4795
_cell_length_c 14.0338
_cell_angle_alpha 90.00
_cell_angle_beta 90.00
_cell_angle_gamma 90.00
_symmetry_space_group_name_H-M 'I m m m'
_symmetry_Int_Tables_number 71
_symmetry_space_group_name_Hall '-I 2 2'
loop_
_atom_site_label
_atom_site_fract_x
_atom_site_fract_y
_atom_site_fract_z
Li1 0.0000 0.0000 0.0000
Li2 0.0000 0.2083 0.3212
Y1 0.0000 0.5000 0.0000
Se1 0.0000 0.2656 0.5000
Se2 0.0000 0.5000 0.2106
```

Entry 3:
Simulated X-ray powder pattern
Compound: Sm3Er2
Radiation: CuKα
Structure: a crystal structure in Alexandria, relaxed with GGA-PBE
Kinematic intensities with the Lorentz-polarization factor, no thermal factor.

Main lines, low angle first (2θ from 15° to 90°):
index  two_theta  d (Å)  Rel. int.
0 0 2  28.75  3.105  32
1 4 1  29.72  3.006  70
1 5 0  30.87  2.896  100
2 1 1  31.42  2.847  98
1 1 2  32.40  2.763  29
1 3 2  36.11  2.487  24
1 6 1  38.99  2.310  22
2 1 3  52.65  1.738  23
3 5 2  59.18  1.561  23
2 9 1  60.74  1.525  20

Cell and atoms:
```
data_Sm3Er2
_cell_length_a 6.5364
_cell_length_b 16.1507
_cell_length_c 6.2095
_cell_angle_alpha 90.00
_cell_angle_beta 90.00
_cell_angle_gamma 90.00
_symmetry_space_group_name_H-M 'I b a m'
_symmetry_Int_Tables_number 72
_symmetry_space_group_name_Hall '-I 2 2c'
loop_
_atom_site_label
_atom_site_fract_x
_atom_site_fract_y
_atom_site_fract_z
Sm1 0.0000 0.0000 0.2500
Sm2 0.1085 0.4034 0.0000
Er1 0.1374 0.1929 0.0000
```

Entry 4:
Simulated X-ray powder pattern
Compound: Ac9Co3Cu
Radiation: CuKα
Structure: a crystal structure in Alexandria, relaxed with GGA-PBE
Kinematic intensities with the Lorentz-polarization factor, no thermal factor.

Main lines, low angle first (2θ from 15° to 90°):
index  two_theta  d (Å)  Rel. int.
2 0 1  26.94  3.310  34
1 3 0  27.27  3.270  100
0 2 3  27.80  3.210  36
2 0 -2  27.95  3.193  33
1 1 3  28.15  3.170  48
2 1 -2  29.11  3.068  25
1 2 3  31.52  2.838  25
3 2 1  42.91  2.107  33
3 3 -2  46.87  1.938  34
0 3 6  52.65  1.738  24

Cell and atoms:
```
data_Ac9Co3Cu
_cell_length_a 7.1439
_cell_length_b 11.0508
_cell_length_c 11.8915
_cell_angle_alpha 90.00
_cell_angle_beta 95.87
_cell_angle_gamma 90.00
_symmetry_space_group_name_H-M 'P 1 21/m 1'
_symmetry_Int_Tables_number 11
_symmetry_space_group_name_Hall '-P 2yb'
loop_
_atom_site_label
_atom_site_fract_x
_atom_site_fract_y
_atom_site_fract_z
Ac1 0.0906 0.2500 0.1969
Ac2 0.1546 0.5710 0.3771
Ac3 0.2076 0.2500 0.8596
Ac4 0.2534 0.5624 0.0399
Ac5 0.3602 0.5714 0.7091
Ac6 0.3611 0.2500 0.5303
Co1 0.0546 0.0053 0.8275
Co2 0.5000 0.0000 0.5000
Cu1 0.4770 0.2500 0.0874
```

Entry 5:
Simulated X-ray powder pattern
Compound: ZnCdO3
Radiation: CuKα
Structure: a crystal structure in Alexandria, relaxed with GGA-PBE
Kinematic intensities with the Lorentz-polarization factor, no thermal factor.

Main lines, low angle first (2θ from 15° to 90°):
index  two_theta  d (Å)  Rel. int.
1 0 0  23.20  3.834  3
1 1 0  33.04  2.711  100
1 1 1  40.76  2.214  11
2 0 0  47.42  1.917  33
2 1 0  53.43  1.715  1
2 1 1  59.01  1.565  37
2 2 0  69.32  1.356  19
3 1 0  78.96  1.213  16
3 1 1  83.65  1.156  3
2 2 2  88.29  1.107  6

Cell and atoms:
```
data_ZnCdO3
_cell_length_a 3.8343
_cell_length_b 3.8343
_cell_length_c 3.8343
_cell_angle_alpha 90.00
_cell_angle_beta 90.00
_cell_angle_gamma 90.00
_symmetry_space_group_name_H-M 'P m -3 m'
_symmetry_Int_Tables_number 221
_symmetry_space_group_name_Hall '-P 4 2 3'
loop_
_atom_site_label
_atom_site_fract_x
_atom_site_fract_y
_atom_site_fract_z
Zn1 0.0000 0.0000 0.0000
Cd1 0.5000 0.5000 0.5000
O1 0.0000 0.0000 0.5000
```

Entry 6:
Simulated X-ray powder pattern
Compound: SrBeGeAu3
Radiation: CuKα
Structure: a crystal structure in Alexandria, relaxed with GGA-PBE
Kinematic intensities with the Lorentz-polarization factor, no thermal factor.

Main lines, low angle first (2θ from 15° to 90°):
index  two_theta  d (Å)  Rel. int.
1 1 1  20.84  4.262  31
0 4 0  29.27  3.051  21
2 2 0  31.34  2.854  100
0 2 2  31.53  2.837  100
2 0 2  39.63  2.274  91
2 4 0  40.68  2.218  29
0 4 2  40.83  2.210  29
2 6 2  61.12  1.516  24
4 2 2  66.66  1.403  23
2 2 4  66.98  1.397  23

Cell and atoms:
```
data_SrBeGeAu3
_cell_length_a 6.4571
_cell_length_b 12.2060
_cell_length_c 6.4090
_cell_angle_alpha 90.00
_cell_angle_beta 90.00
_cell_angle_gamma 90.00
_symmetry_space_group_name_H-M 'C m c m'
_symmetry_Int_Tables_number 63
_symmetry_space_group_name_Hall '-C 2c 2'
loop_
_atom_site_label
_atom_site_fract_x
_atom_site_fract_y
_atom_site_fract_z
Sr1 0.0000 0.2276 0.2500
Be1 0.0000 0.4878 0.2500
Ge1 0.0000 0.1176 0.7500
Au1 0.0000 0.3236 0.7500
Au2 0.2397 0.0000 0.0000
```